# LiSeNF
Computed X-ray diffraction stick pattern, λ = 1.5418 Å (Cu Kα). Input: a DFT-relaxed cell (PBE, Alexandria).
No peak broadening, texture or thermal motion is included.

The 10 most intense peaks (10° ≤ 2θ ≤ 80°), most intense first:
| d [Å] | intensity | hkl |
| --- | --- | --- |
| 6.360 | 1000 | 2 0 0 |
| 2.874 | 684 | 2 0 -1 |
| 1.939 | 418 | 1 1 1 |
| 2.344 | 386 | 3 1 0 |
| 3.180 | 384 | 4 0 0 |
| 2.747 | 258 | 1 1 0 |
| 2.422 | 207 | 2 0 1 |
| 1.715 | 190 | 5 1 -1 |
| 1.263 | 120 | 2 2 -1 |
| 1.887 | 119 | 5 1 0 |

Cell and atoms:
```
data_LiSeNF
_chemical_formula_sum 'Li2 Se2 N2 F2'
_symmetry_space_group_name_H-M 'C 1 m 1'
_symmetry_Int_Tables_number 8
_symmetry_space_group_name_Hall 'C -2y'
_cell_length_a 13.050
_cell_length_b 2.814
_cell_length_c 2.950
_cell_angle_alpha 90.00
_cell_angle_beta 102.92
_cell_angle_gamma 90.00
loop_
_atom_site_label
_atom_site_fract_x
_atom_site_fract_y
_atom_site_fract_z
_atom_site_occupancy
Li1 0.000 0.000 0.000 1
Se1 0.263 0.500 0.259 1
N1 0.171 0.000 0.168 1
F1 0.469 0.000 0.470 1
```